ErLu2In3Ir2: calculated powder diffraction line list (Cu Kα X-rays), based on a structure optimized by DFT (GGA-PBE).

Peak list (12 most intense, 2θ = 15–90°, by angle)
| Position (°2θ) | d_spacing | intensity |
| --- | --- | --- |
| 34.46 | 2.602 | 100 |
| 36.25 | 2.478 | 68 |
| 37.17 | 2.419 | 72 |
| 41.31 | 2.186 | 19 |
| 44.45 | 2.038 | 12 |
| 50.14 | 1.820 | 11 |
| 50.97 | 1.792 | 17 |
| 56.74 | 1.622 | 14 |
| 64.14 | 1.452 | 25 |
| 67.51 | 1.388 | 15 |
| 67.63 | 1.385 | 12 |
| 70.97 | 1.328 | 15 |

```
8
Lattice="3.5834 0.0000 0.0000 0.0000 6.5661 3.7800 0.0000 -6.5661 3.7800" Properties=species:S:1:pos:R:3 pbc="T T T"
Er 0.0000 0.0000 0.0000
Lu 0.0000 -2.7756 4.7891
Lu 0.0000 2.7756 4.7891
In 1.7917 -1.5528 2.3047
In 1.7917 1.5528 2.3047
In 1.7917 0.0000 4.9633
Ir 1.7917 -4.3622 3.1855
Ir 1.7917 4.3622 3.1855
```